[1]
For SrLaB2Pt8, a GGA-PBE-relaxed structure gives the theoretical powder X-ray diffraction pattern in this record (copper Kα).

Largest 10 diffraction maxima, by angle, 10° ≤ 2θ ≤ 80°:
2θ = 18.4°, intensity 52, hkl 1 0 0; 2θ = 35.1°, intensity 45, hkl 0 0 3; 2θ = 37.3°, intensity 97, hkl 2 0 0; 2θ = 39.2°, intensity 44, hkl 2 0 1; 2θ = 40.0°, intensity 35, hkl 1 0 3; 2θ = 40.1°, intensity 100, hkl 1 1 2; 2θ = 44.4°, intensity 69, hkl 2 0 2; 2θ = 62.7°, intensity 46, hkl 3 0 2; 2θ = 67.3°, intensity 40, hkl 2 2 0; 2θ = 73.2°, intensity 39, hkl 2 0 5

Atomic structure:
Lattice parameters (Å, degrees): 5.562 5.562 7.660 90.00 90.00 120.00
Atoms (fractional coordinates):
Sr 0.000 0.000 0.000
La 0.000 0.000 0.500
B 0.333 0.667 0.500
B 0.667 0.333 0.500
Pt 0.000 0.500 0.302
Pt 0.000 0.500 0.698
Pt 0.333 0.667 0.000
Pt 0.500 0.000 0.302
Pt 0.500 0.000 0.698
Pt 0.500 0.500 0.302
Pt 0.500 0.500 0.698
Pt 0.667 0.333 0.000

***

[2]
For SrLaB2Pt8, a GGA-PBE-relaxed structure gives the theoretical powder X-ray diffraction pattern in this record (copper Kα).

Largest 10 diffraction maxima, by angle, 10° ≤ 2θ ≤ 80°:
2θ = 18.5°, intensity 52, hkl 1 0 0; 2θ = 34.4°, intensity 51, hkl 1 1 1; 2θ = 35.2°, intensity 52, hkl 0 0 3; 2θ = 37.4°, intensity 97, hkl 2 0 0; 2θ = 40.2°, intensity 100, hkl 1 1 2; 2θ = 44.6°, intensity 69, hkl 2 0 2; 2θ = 52.4°, intensity 36, hkl 2 0 3; 2θ = 62.9°, intensity 40, hkl 3 0 2; 2θ = 67.6°, intensity 40, hkl 2 2 0; 2θ = 73.4°, intensity 33, hkl 2 0 5

Atomic structure:
Lattice parameters (Å, degrees): 5.547 5.547 7.641 90.00 90.00 120.00
Atoms (fractional coordinates):
Sr 0.000 0.000 0.000
La 0.000 0.000 0.500
B 0.333 0.667 0.000
B 0.667 0.333 0.000
Pt 0.000 0.500 0.198
Pt 0.000 0.500 0.802
Pt 0.333 0.667 0.500
Pt 0.500 0.000 0.198
Pt 0.500 0.000 0.802
Pt 0.500 0.500 0.198
Pt 0.500 0.500 0.802
Pt 0.667 0.333 0.500

***

[3]
For La2Re3B7, a GGA-PBE-relaxed structure gives the theoretical powder X-ray diffraction pattern in this record (copper Kα).

Largest 10 diffraction maxima, by angle, 10° ≤ 2θ ≤ 80°:
2θ = 26.7°, intensity 42, hkl 2 1 0; 2θ = 27.8°, intensity 57, hkl 2 1 1; 2θ = 28.9°, intensity 32, hkl 1 1 3; 2θ = 30.5°, intensity 36, hkl 0 2 2; 2θ = 32.7°, intensity 76, hkl 1 2 2; 2θ = 32.8°, intensity 100, hkl 1 0 4; 2θ = 37.0°, intensity 31, hkl 1 2 3; 2θ = 38.4°, intensity 30, hkl 3 1 1; 2θ = 40.7°, intensity 44, hkl 3 1 2; 2θ = 49.2°, intensity 41, hkl 3 1 4

Atomic structure:
Lattice parameters (Å, degrees): 7.679 6.794 11.667 90.00 90.00 90.00
Atoms (fractional coordinates):
La 0.177 0.236 0.178
La 0.177 0.764 0.678
La 0.323 0.236 0.678
La 0.323 0.764 0.178
La 0.677 0.236 0.822
La 0.677 0.764 0.322
La 0.823 0.236 0.322
La 0.823 0.764 0.822
Re 0.091 0.395 0.920
Re 0.091 0.605 0.420
Re 0.250 0.000 0.432
Re 0.250 0.000 0.932
Re 0.409 0.395 0.420
Re 0.409 0.605 0.920
Re 0.591 0.395 0.080
Re 0.591 0.605 0.580
Re 0.750 0.000 0.068
Re 0.750 0.000 0.568
Re 0.909 0.395 0.580
Re 0.909 0.605 0.080
B 0.000 0.367 0.750
B 0.000 0.633 0.250
B 0.033 0.104 0.541
B 0.033 0.896 0.041
B 0.040 0.123 0.817
B 0.040 0.877 0.317
B 0.129 0.302 0.462
B 0.129 0.698 0.962
B 0.371 0.302 0.962
B 0.371 0.698 0.462
B 0.460 0.123 0.317
B 0.460 0.877 0.817
B 0.467 0.104 0.041
B 0.467 0.896 0.541
B 0.500 0.367 0.250
B 0.500 0.633 0.750
B 0.533 0.104 0.459
B 0.533 0.896 0.959
B 0.540 0.123 0.183
B 0.540 0.877 0.683
B 0.629 0.302 0.538
B 0.629 0.698 0.038
B 0.871 0.302 0.038
B 0.871 0.698 0.538
B 0.960 0.123 0.683
B 0.960 0.877 0.183
B 0.967 0.104 0.959
B 0.967 0.896 0.459

***

[4]
For LaB4W, a GGA-PBE-relaxed structure gives the theoretical powder X-ray diffraction pattern in this record (copper Kα).

Largest 10 diffraction maxima, by angle, 10° ≤ 2θ ≤ 80°:
2θ = 11.5°, intensity 9, hkl 0 0 1; 2θ = 23.2°, intensity 53, hkl 0 0 2; 2θ = 33.1°, intensity 73, hkl 1 0 0; 2θ = 40.8°, intensity 100, hkl 1 0 2; 2θ = 47.4°, intensity 11, hkl 0 0 4; 2θ = 59.1°, intensity 48, hkl 1 1 0; 2θ = 64.4°, intensity 21, hkl 1 1 2; 2θ = 69.5°, intensity 9, hkl 2 0 0; 2θ = 74.4°, intensity 17, hkl 2 0 2; 2θ = 79.1°, intensity 15, hkl 1 1 4

Atomic structure:
Lattice parameters (Å, degrees): 3.123 3.123 7.665 90.00 90.00 120.00
Atoms (fractional coordinates):
La 0.000 0.000 0.000
B 0.333 0.667 0.289
B 0.333 0.667 0.711
B 0.667 0.333 0.289
B 0.667 0.333 0.711
W 0.000 0.000 0.500